No. 1
The following is a simulated X-ray diffraction stick pattern of Li6Pd4O11. It was derived from a structure optimized by DFT (PBE), using copper Kα.
Peak positions follow from Bragg's law for the DFT cell and can differ from measured ones.

Most intense lines, 2θ = 10–90°, by angle:
Position (°2θ)  I/Imax  index
18.75  100  1 0 0
19.67  19  0 1 -1
21.28  17  0 1 1
23.80  18  1 0 -2
23.94  16  -1 1 1
34.99  17  0 1 -3
35.60  18  0 2 0
42.86  23  1 -1 3
43.63  22  1 2 0
44.27  24  -2 1 3

Atomic structure:
Unit cell a=5.009 b=5.134 c=8.863 alpha=92.19 beta=106.14 gamma=99.44
Atoms (fractional coordinates):
Li  0.000  0.000  0.000
Li  0.001  0.018  0.670
Li  0.494  0.763  0.086
Li  0.528  0.249  0.612
Li  0.986  0.547  0.143
Li  0.988  0.511  0.526
Pd  0.493  0.750  0.755
Pd  0.494  0.267  0.921
Pd  0.498  0.257  0.260
Pd  0.498  0.754  0.415
O  0.259  0.852  0.551
O  0.262  0.372  0.062
O  0.262  0.891  0.221
O  0.262  0.902  0.876
O  0.265  0.378  0.713
O  0.714  0.136  0.463
O  0.720  0.640  0.617
O  0.724  0.639  0.957
O  0.733  0.113  0.803
O  0.736  0.166  0.122
O  0.742  0.612  0.301



No. 2
The following is a simulated X-ray diffraction stick pattern of HfOF2. It was derived from a structure optimized by DFT (PBE), using copper Kα.
Peak positions follow from Bragg's law for the DFT cell and can differ from measured ones.

Most intense lines, 2θ = 10–90°, by angle:
Position (°2θ)  I/Imax  index
21.75  80  0 1 1
22.53  50  1 0 -1
26.23  100  1 1 -1
26.94  58  1 0 1
30.14  42  1 1 1
31.90  57  0 2 1
32.27  95  1 2 0
37.30  52  0 1 2
44.32  67  1 1 2
55.01  30  0 4 0

Atomic structure:
Unit cell a=5.058 b=6.680 c=5.247 alpha=90.00 beta=100.04 gamma=90.00
Atoms (fractional coordinates):
Hf  0.032  0.000  0.123
Hf  0.425  0.217  0.638
Hf  0.575  0.717  0.362
Hf  0.968  0.500  0.877
O  0.145  0.209  0.868
O  0.308  0.935  0.453
O  0.692  0.435  0.547
O  0.855  0.709  0.132
F  0.103  0.260  0.341
F  0.271  0.527  0.661
F  0.316  0.521  0.166
F  0.327  0.841  0.999
F  0.673  0.341  0.001
F  0.684  0.021  0.834
F  0.729  0.027  0.339
F  0.897  0.760  0.659



No. 3
The following is a simulated X-ray diffraction stick pattern of LiScZn2Cd2Ag2. It was derived from a structure optimized by DFT (PBE), using copper Kα.
Peak positions follow from Bragg's law for the DFT cell and can differ from measured ones.

Most intense lines, 2θ = 10–90°, by angle:
Position (°2θ)  I/Imax  index
23.28  35  1 0 1
38.31  52  2 0 0
38.55  100  1 1 2
45.31  12  2 1 1
45.73  6  1 0 3
55.30  17  2 2 0
56.03  8  0 0 4
69.43  32  3 1 2
69.91  15  2 0 4
82.64  10  2 2 4

Atomic structure:
Unit cell a=4.699 b=4.699 c=6.565 alpha=90.00 beta=90.00 gamma=90.00
Atoms (fractional coordinates):
Li  0.000  0.000  0.000
Sc  0.500  0.500  0.500
Zn  0.000  0.500  0.762
Zn  0.500  0.000  0.238
Cd  0.000  0.000  0.500
Cd  0.500  0.500  0.000
Ag  0.000  0.500  0.238
Ag  0.500  0.000  0.762



No. 4
The following is a simulated X-ray diffraction stick pattern of Cd2Ge2As3P. It was derived from a structure optimized by DFT (PBE), using copper Kα.
Peak positions follow from Bragg's law for the DFT cell and can differ from measured ones.

Most intense lines, 2θ = 10–90°, by angle:
Position (°2θ)  I/Imax  index
26.16  91  1 1 1
26.35  100  3 1 -1
42.69  48  2 2 -2
43.79  22  2 0 2
43.90  44  4 2 0
44.26  22  6 0 -2
50.65  17  1 3 1
50.76  27  1 1 -3
51.08  13  5 1 -3
52.88  14  5 1 1

Atomic structure:
Unit cell a=12.770 b=6.007 c=5.974 alpha=90.00 beta=117.31 gamma=90.00
Atoms (fractional coordinates):
Cd  0.121  0.000  0.363
Cd  0.379  0.500  0.637
Cd  0.621  0.500  0.363
Cd  0.879  0.000  0.637
Ge  0.123  0.515  0.879
Ge  0.377  0.015  0.121
Ge  0.623  0.015  0.879
Ge  0.877  0.515  0.121
As  0.000  0.289  0.500
As  0.250  0.261  0.224
As  0.250  0.761  0.776
As  0.500  0.789  0.500
As  0.750  0.261  0.776
As  0.750  0.761  0.224
P  0.000  0.728  0.000
P  0.500  0.228  0.000



No. 5
The following is a simulated X-ray diffraction stick pattern of HoLu2As3. It was derived from a structure optimized by DFT (PBE), using copper Kα.
Peak positions follow from Bragg's law for the DFT cell and can differ from measured ones.

Most intense lines, 2θ = 10–90°, by angle:
Position (°2θ)  I/Imax  index
26.98  27  0 1 1
31.25  100  1 0 2
44.78  74  1 1 0
53.06  13  1 0 5
55.62  26  0 2 2
65.19  12  2 0 4
71.89  5  0 1 7
74.06  33  2 1 2
82.56  25  3 0 0
88.82  4  0 0 9

Atomic structure:
Unit cell a=4.049 b=4.049 c=9.910 alpha=90.00 beta=90.00 gamma=120.00
Atoms (fractional coordinates):
Ho  0.000  0.000  0.000
Lu  0.333  0.667  0.335
Lu  0.667  0.333  0.665
As  0.000  0.000  0.500
As  0.333  0.667  0.830
As  0.667  0.333  0.170



No. 6
The following is a simulated X-ray diffraction stick pattern of YErMg3Ni2. It was derived from a structure optimized by DFT (PBE), using copper Kα.
Peak positions follow from Bragg's law for the DFT cell and can differ from measured ones.

Most intense lines, 2θ = 10–90°, by angle:
Position (°2θ)  I/Imax  index
25.64  24  0 0 6
25.80  28  0 1 3
33.76  65  1 1 1
35.83  63  1 0 6
35.96  100  1 1 3
37.73  27  0 1 7
40.03  70  1 1 5
45.30  25  0 1 9
45.59  42  0 2 0
59.31  29  1 2 6

Atomic structure:
Unit cell a=3.618 b=3.979 c=20.849 alpha=90.00 beta=90.00 gamma=90.00
Atoms (fractional coordinates):
Y  0.000  0.000  0.000
Y  0.000  0.500  0.500
Er  0.000  0.000  0.352
Er  0.000  0.500  0.852
Mg  0.000  0.000  0.175
Mg  0.000  0.500  0.675
Mg  0.500  0.000  0.596
Mg  0.500  0.000  0.755
Mg  0.500  0.500  0.096
Mg  0.500  0.500  0.255
Ni  0.500  0.000  0.460
Ni  0.500  0.000  0.887
Ni  0.500  0.500  0.387
Ni  0.500  0.500  0.960



No. 7
The following is a simulated X-ray diffraction stick pattern of GdDyMo2C3. It was derived from a structure optimized by DFT (PBE), using copper Kα.
Peak positions follow from Bragg's law for the DFT cell and can differ from measured ones.

Most intense lines, 2θ = 10–90°, by angle:
Position (°2θ)  I/Imax  index
26.43  16  2 0 1
31.97  46  2 0 -2
33.12  42  4 0 0
33.34  100  1 1 1
36.64  85  3 1 -1
41.24  30  2 0 2
53.85  16  0 2 0
55.59  15  1 1 -3
57.07  14  5 1 1
64.01  13  2 2 -2

Atomic structure:
Unit cell a=11.339 b=3.405 c=5.727 alpha=90.00 beta=107.43 gamma=90.00
Atoms (fractional coordinates):
Gd  0.000  0.000  0.000
Gd  0.500  0.500  0.000
Dy  0.226  0.000  0.643
Dy  0.726  0.500  0.643
Mo  0.263  0.500  0.199
Mo  0.462  0.000  0.446
Mo  0.763  0.000  0.199
Mo  0.962  0.500  0.446
C  0.114  0.500  0.325
C  0.340  0.000  0.081
C  0.384  0.500  0.561
C  0.614  0.000  0.325
C  0.840  0.500  0.081
C  0.884  0.000  0.561



No. 8
The following is a simulated X-ray diffraction stick pattern of Er3AlNi8. It was derived from a structure optimized by DFT (PBE), using copper Kα.
Peak positions follow from Bragg's law for the DFT cell and can differ from measured ones.

Most intense lines, 2θ = 10–90°, by angle:
Position (°2θ)  I/Imax  index
35.00  100  1 0 5
35.78  63  1 1 0
41.55  22  2 0 0
41.95  48  2 0 1
42.62  99  1 1 4
45.09  48  2 0 3
63.78  34  2 1 5
69.00  23  3 0 4
70.15  21  1 1 10
75.81  26  2 2 0

Atomic structure:
Unit cell a=5.020 b=5.020 c=15.874 alpha=90.00 beta=90.00 gamma=120.00
Atoms (fractional coordinates):
Er  0.333  0.667  0.045
Er  0.333  0.667  0.250
Er  0.333  0.667  0.455
Er  0.667  0.333  0.545
Er  0.667  0.333  0.750
Er  0.667  0.333  0.955
Al  0.000  0.000  0.000
Al  0.000  0.000  0.500
Ni  0.000  0.000  0.250
Ni  0.000  0.000  0.750
Ni  0.169  0.339  0.625
Ni  0.169  0.339  0.875
Ni  0.169  0.831  0.625
Ni  0.169  0.831  0.875
Ni  0.333  0.667  0.750
Ni  0.339  0.169  0.125
Ni  0.339  0.169  0.375
Ni  0.661  0.831  0.625
Ni  0.661  0.831  0.875
Ni  0.667  0.333  0.250
Ni  0.831  0.169  0.125
Ni  0.831  0.169  0.375
Ni  0.831  0.661  0.125
Ni  0.831  0.661  0.375



No. 9
The following is a simulated X-ray diffraction stick pattern of TaGaO3. It was derived from a structure optimized by DFT (PBE), using copper Kα.
Peak positions follow from Bragg's law for the DFT cell and can differ from measured ones.

Most intense lines, 2θ = 10–90°, by angle:
Position (°2θ)  I/Imax  index
22.32  39  1 0 1
31.76  100  2 0 0
31.83  20  0 0 2
45.55  35  2 0 2
51.27  14  3 0 1
56.54  24  2 4 0
56.66  24  1 2 3
66.38  14  2 4 2
75.46  17  4 0 2
84.08  4  4 4 0

Atomic structure:
Unit cell a=5.643 b=7.966 c=5.623 alpha=90.00 beta=90.00 gamma=90.00
Atoms (fractional coordinates):
Ta  0.000  0.000  0.000
Ta  0.000  0.500  0.000
Ta  0.500  0.000  0.500
Ta  0.500  0.500  0.500
Ga  0.001  0.250  0.500
Ga  0.499  0.750  0.000
Ga  0.501  0.250  0.000
Ga  0.999  0.750  0.500
O  0.000  0.250  0.016
O  0.000  0.750  0.984
O  0.241  0.008  0.741
O  0.241  0.492  0.741
O  0.259  0.508  0.241
O  0.259  0.992  0.241
O  0.500  0.250  0.484
O  0.500  0.750  0.516
O  0.741  0.008  0.759
O  0.741  0.492  0.759
O  0.759  0.508  0.259
O  0.759  0.992  0.259



No. 10
The following is a simulated X-ray diffraction stick pattern of PrHoIn2Pd4. It was derived from a structure optimized by DFT (PBE), using copper Kα.
Peak positions follow from Bragg's law for the DFT cell and can differ from measured ones.

Most intense lines, 2θ = 10–90°, by angle:
Position (°2θ)  I/Imax  index
22.21  9  1 0 0
29.76  35  1 0 2
37.26  97  1 0 3
38.98  100  1 1 0
55.02  31  2 0 3
66.02  15  1 0 6
69.47  31  2 1 3
70.60  17  3 0 0
79.41  9  2 0 6
83.71  11  2 2 0

Atomic structure:
Unit cell a=4.621 b=4.621 c=9.077 alpha=90.00 beta=90.00 gamma=120.00
Atoms (fractional coordinates):
Pr  0.000  0.000  0.000
Ho  0.333  0.667  0.500
In  0.667  0.333  0.259
In  0.667  0.333  0.741
Pd  0.000  0.000  0.343
Pd  0.000  0.000  0.657
Pd  0.333  0.667  0.173
Pd  0.333  0.667  0.827



No. 11
The following is a simulated X-ray diffraction stick pattern of Sc4CuC2S. It was derived from a structure optimized by DFT (PBE), using copper Kα.
Peak positions follow from Bragg's law for the DFT cell and can differ from measured ones.

Most intense lines, 2θ = 10–90°, by angle:
Position (°2θ)  I/Imax  index
30.17  25  1 0 0
33.53  11  1 0 2
37.34  100  1 0 3
43.76  9  0 0 6
47.81  8  1 0 5
53.59  26  1 1 0
54.08  11  1 0 6
67.13  15  2 0 3
71.60  12  1 1 6
76.15  6  1 0 9

Atomic structure:
Unit cell a=3.420 b=3.420 c=12.411 alpha=90.00 beta=90.00 gamma=120.00
Atoms (fractional coordinates):
Sc  0.000  0.000  0.141
Sc  0.000  0.000  0.859
Sc  0.667  0.333  0.337
Sc  0.667  0.333  0.663
Cu  0.000  0.000  0.500
C  0.333  0.667  0.243
C  0.333  0.667  0.757
S  0.667  0.333  0.000